Diffraction record for Sr12Co10O27. The powder diffractogram is calculated, not measured: it uses a PBE+U-relaxed structure and Cu Kα, 1.54184 Å.
Kinematic intensities with the Lorentz-polarization factor, no thermal factor.

Peak list (10 most intense, 2θ = 10–80°, by intensity)
| hkl | Position (°2θ) | I/Imax |
| --- | --- | --- |
| -3 3 1 | 32.4 | 100 |
| 3 0 -2 | 32.3 | 96 |
| 0 3 -1 | 32.1 | 95 |
| -1 2 2 | 27.8 | 84 |
| 2 -1 1 | 27.7 | 53 |
| 2 -4 2 | 43.1 | 52 |
| -2 1 3 | 28.1 | 46 |
| 1 1 -3 | 27.9 | 40 |
| 1 1 1 | 27.5 | 40 |
| 2 2 0 | 42.7 | 28 |

Atomic structure:
Lattice parameters (Å, degrees): 9.567 9.620 10.186 90.41 117.33 119.53
Space group P1 (No. 1)
Symmetry-distinct sites (fractional):
Sr 0.000 0.000 0.000 (multiplicity 1)
Sr 0.000 0.497 0.499 (multiplicity 1)
Sr 0.177 0.908 0.736 (multiplicity 1)
Sr 0.179 0.411 0.241 (multiplicity 1)
Sr 0.366 0.143 0.514 (multiplicity 1)
Sr 0.374 0.648 0.014 (multiplicity 1)
Sr 0.444 0.551 0.733 (multiplicity 1)
Sr 0.458 0.053 0.231 (multiplicity 1)
Sr 0.621 0.270 0.003 (multiplicity 1)
Sr 0.638 0.782 0.495 (multiplicity 1)
Sr 0.818 0.696 0.247 (multiplicity 1)
Sr 0.822 0.183 0.740 (multiplicity 1)
Co 0.036 0.669 0.055 (multiplicity 1)
Co 0.221 0.251 0.828 (multiplicity 1)
Co 0.235 0.765 0.346 (multiplicity 1)
Co 0.409 0.348 0.121 (multiplicity 1)
Co 0.412 0.850 0.622 (multiplicity 1)
Co 0.594 0.438 0.399 (multiplicity 1)
Co 0.600 0.942 0.913 (multiplicity 1)
Co 0.796 0.547 0.690 (multiplicity 1)
Co 0.823 0.047 0.209 (multiplicity 1)
Co 0.994 0.148 0.531 (multiplicity 1)
O 0.103 0.353 0.678 (multiplicity 1)
O 0.123 0.870 0.194 (multiplicity 1)
O 0.163 0.314 0.979 (multiplicity 1)
O 0.167 0.820 0.486 (multiplicity 1)
O 0.285 0.712 0.185 (multiplicity 1)
O 0.293 0.214 0.694 (multiplicity 1)
O 0.303 0.133 0.985 (multiplicity 1)
O 0.303 0.637 0.479 (multiplicity 1)
O 0.326 0.735 0.754 (multiplicity 1)
O 0.339 0.243 0.269 (multiplicity 1)
O 0.491 0.459 0.987 (multiplicity 1)
O 0.499 0.965 0.489 (multiplicity 1)
O 0.506 0.557 0.254 (multiplicity 1)
O 0.519 0.061 0.762 (multiplicity 1)
O 0.536 0.982 0.057 (multiplicity 1)
O 0.550 0.497 0.576 (multiplicity 1)
O 0.654 0.373 0.256 (multiplicity 1)
O 0.654 0.877 0.761 (multiplicity 1)
O 0.714 0.837 0.062 (multiplicity 1)
O 0.723 0.344 0.583 (multiplicity 1)
O 0.828 0.947 0.366 (multiplicity 1)
O 0.849 0.649 0.541 (multiplicity 1)
O 0.870 0.152 0.066 (multiplicity 1)
O 0.937 0.530 0.149 (multiplicity 1)
O 0.953 0.038 0.674 (multiplicity 1)
O 0.990 0.249 0.373 (multiplicity 1)
O 0.996 0.717 0.872 (multiplicity 1)